The following is a calculated XRD peak list of MgSi2. It was derived from a crystal structure in Alexandria, relaxed with PBE, using a wavelength of 1.5418 Å.
Kinematic intensities with the Lorentz-polarization factor, no thermal factor.

Most intense lines, 10 to 90 degrees two-theta, by intensity:
d = 2.532 Å, rel. 100, (1 -2 1); d = 2.880 Å, rel. 62, (0 0 4); d = 2.477 Å, rel. 53, (1 0 3); d = 2.503 Å, rel. 49, (1 1 -2); d = 1.850 Å, rel. 47, (1 -2 5); d = 4.284 Å, rel. 45, (0 1 1); d = 2.142 Å, rel. 42, (0 2 2); d = 2.919 Å, rel. 29, (-1 1 2); d = 1.956 Å, rel. 29, (-1 2 3); d = 2.561 Å, rel. 28, (0 2 -2)

Structure:
Unit cell a=3.7634 b=5.5301 c=11.8596 alpha=102.61 beta=91.45 gamma=108.89
Space group P1 (No. 1)
Symmetry-distinct sites (fractional):
Mg1 0.0000 0.0000 0.0000 x1
Mg2 0.0449 0.7529 0.2667 x1
Mg3 0.4457 0.5617 0.4479 x1
Mg4 0.6190 0.2451 0.7925 x1
Si1 0.1432 0.9478 0.5355 x1
Si2 0.2878 0.5607 0.9485 x1
Si3 0.3117 0.2993 0.2185 x1
Si4 0.5355 0.7430 0.7875 x1
Si5 0.7295 0.4449 0.0531 x1
Si6 0.7469 0.1603 0.3172 x1
Si7 0.7744 0.2206 0.5316 x1
Si8 0.9886 0.6520 0.6600 x1